Entry 1:
Starting from a DFT-relaxed cell (GGA+U, the Materials Project), the X-ray powder pattern of ZnCoO2 was computed for a wavelength of 1.5418 Å.
Neutral-atom scattering factors, no anomalous dispersion.

Structural model:
```
ZnCoO2
1.0
5.343 0.000 0.000
0.000 3.018 0.000
-1.917 0.000 4.991
Zn Co O
2 2 4
Direct
0.000 0.000 0.000
0.500 0.500 0.000
0.000 0.500 0.500
0.500 0.000 0.500
0.237 0.000 0.749
0.263 0.500 0.251
0.737 0.500 0.749
0.763 0.000 0.251
```

The 10 most intense peaks (2θ from 10° to 80°), by angle:
- 36.04°, I 100.0
- 40.98°, I 46.4
- 42.29°, I 84.4
- 60.35°, I 52.0
- 61.25°, I 12.4
- 61.44°, I 12.3
- 71.42°, I 13.9
- 73.18°, I 12.9
- 73.31°, I 12.7
- 76.35°, I 11.9


Entry 2:
Starting from a DFT-relaxed cell (GGA+U, the Materials Project), the X-ray powder pattern of ZnCo2O4 was computed for a wavelength of 1.5418 Å.
Neutral-atom scattering factors, no anomalous dispersion.

Structural model:
```
ZnCo2O4
1.0
9.691 0.000 0.000
0.000 9.742 0.000
0.000 0.000 2.927
Zn Co O
4 8 16
Direct
0.112 0.248 0.265
0.388 0.748 0.735
0.612 0.252 0.735
0.888 0.752 0.265
0.131 0.572 0.754
0.134 0.928 0.757
0.366 0.428 0.243
0.369 0.072 0.246
0.631 0.928 0.246
0.634 0.572 0.243
0.866 0.072 0.757
0.869 0.428 0.754
0.000 0.000 0.258
0.000 0.500 0.256
0.042 0.750 0.767
0.224 0.388 0.751
0.225 0.113 0.747
0.275 0.613 0.253
0.276 0.888 0.249
0.458 0.250 0.233
0.500 0.000 0.744
0.500 0.500 0.742
0.542 0.750 0.233
0.724 0.112 0.249
0.725 0.387 0.253
0.775 0.887 0.747
0.776 0.612 0.751
0.958 0.250 0.767
```

The 10 most intense peaks (2θ from 10° to 80°), by angle:
- 33.22°, I 100.0
- 37.01°, I 20.8
- 37.11°, I 17.8
- 42.70°, I 37.3
- 45.79°, I 31.5
- 57.62°, I 16.2
- 60.35°, I 13.6
- 63.56°, I 10.5
- 64.42°, I 22.0
- 73.63°, I 13.5


Please write out number 1 again, unchanged.
Starting from a DFT-relaxed cell (GGA+U, the Materials Project), the X-ray powder pattern of ZnCoO2 was computed for a wavelength of 1.5418 Å.
Neutral-atom scattering factors, no anomalous dispersion.

Structural model:
```
ZnCoO2
1.0
5.343 0.000 0.000
0.000 3.018 0.000
-1.917 0.000 4.991
Zn Co O
2 2 4
Direct
0.000 0.000 0.000
0.500 0.500 0.000
0.000 0.500 0.500
0.500 0.000 0.500
0.237 0.000 0.749
0.263 0.500 0.251
0.737 0.500 0.749
0.763 0.000 0.251
```

The 10 most intense peaks (2θ from 10° to 80°), by angle:
- 36.04°, I 100.0
- 40.98°, I 46.4
- 42.29°, I 84.4
- 60.35°, I 52.0
- 61.25°, I 12.4
- 61.44°, I 12.3
- 71.42°, I 13.9
- 73.18°, I 12.9
- 73.31°, I 12.7
- 76.35°, I 11.9